This entry pairs a crystal structure of PrSi2Au2 with its simulated X-ray powder pattern. Radiation: a wavelength of 1.5418 Å. Structure: DFT lattice parameters and positions (GGA-PBE).
Lines closer than 0.1° are merged.

Most intense lines, 2θ = 15–90°, sorted by position:
| 2theta | I (rel.) |
| --- | --- |
| 17.28 | 25 |
| 33.25 | 11 |
| 33.85 | 100 |
| 34.96 | 18 |
| 41.29 | 35 |
| 45.96 | 14 |
| 55.19 | 20 |
| 59.82 | 12 |
| 61.99 | 16 |
| 70.54 | 24 |

Crystal structure
Unit cell a=5.992 b=5.992 c=5.992 alpha=137.20 beta=137.20 gamma=62.13
Fractional positions:
Pr: 0.000 0.000 0.000
Si: 0.385 0.385 0.000
Si: 0.615 0.615 0.000
Au: 0.250 0.750 0.500
Au: 0.750 0.250 0.500